For Tl4Rh, a cell relaxed with GGA-PBE gives the theoretical PXRD pattern in this record (Cu Kα, 1.54184 Å).
No peak broadening, texture or thermal motion is included.

Structure:
```
Tl4Rh
1.0
6.634 0.000 0.000
0.000 6.634 0.000
0.000 0.000 5.963
Tl Rh
8 2
direct
0.170 0.319 0.000
0.170 0.681 0.500
0.319 0.170 0.500
0.319 0.830 0.000
0.681 0.170 0.000
0.681 0.830 0.500
0.830 0.319 0.500
0.830 0.681 0.000
0.500 0.500 0.250
0.500 0.500 0.750
```

Peak list (12 most intense, 2θ = 10–80°, in order of rising 2θ)
- (2 0 0), d 3.317, intensity 18.0
- (0 0 2), d 2.982, intensity 24.8
- (2 1 1), d 2.656, intensity 100.0
- (1 1 2), d 2.516, intensity 9.4
- (2 2 0), d 2.345, intensity 7.8
- (2 0 2), d 2.217, intensity 30.6
- (3 1 0), d 2.098, intensity 16.4
- (2 1 3), d 1.651, intensity 24.6
- (3 3 0), d 1.564, intensity 8.5
- (4 1 1), d 1.553, intensity 27.7
- (3 3 2), d 1.385, intensity 15.9
- (4 1 3), d 1.251, intensity 13.6